(1)
Structure and calculated powder X-ray diffraction pattern of ZrSc2Au2 (a GGA-PBE-relaxed structure; copper Kα).
Peak positions follow from Bragg's law for the DFT cell and can differ from measured ones.

Principal peaks in the range 15° ≤ 2θ ≤ 90°, sorted by position:
(2 1 0), 2θ = 25.40°, d = 3.507 Å, I 49
(0 0 1), 2θ = 26.18°, d = 3.404 Å, I 37
(3 1 0), 2θ = 36.22°, d = 2.480 Å, I 50
(2 1 1), 2θ = 36.79°, d = 2.443 Å, I 100
(3 1 1), 2θ = 45.24°, d = 2.004 Å, I 30
(5 2 1), 2θ = 70.29°, d = 1.339 Å, I 26

Structural model:
Unit cell a=7.842 b=7.842 c=3.404 alpha=90.00 beta=90.00 gamma=90.00
Space group P4/mbm (No. 127)
One atom of each set of equivalent atoms:
Zr1 0.000 0.000 0.000
Sc1 0.165 0.335 0.500
Au1 0.133 0.633 0.000

(2)
Structure and calculated powder X-ray diffraction pattern of ZrSc2Au6 (a GGA-PBE-relaxed structure; copper Kα).
Peak positions follow from Bragg's law for the DFT cell and can differ from measured ones.

Principal peaks in the range 15° ≤ 2θ ≤ 90°, sorted by position:
(1 3 -1), 2θ = 26.68°, d = 3.341 Å, I 31
(0 6 0), 2θ = 34.73°, d = 2.583 Å, I 66
(1 1 -2), 2θ = 35.92°, d = 2.500 Å, I 56
(2 2 -1), 2θ = 37.41°, d = 2.404 Å, I 49
(1 3 1), 2θ = 39.55°, d = 2.278 Å, I 100
(2 4 -1), 2θ = 42.70°, d = 2.117 Å, I 35

Structural model:
Unit cell a=5.057 b=15.498 c=5.067 alpha=90.00 beta=119.79 gamma=90.00
Space group C2/m (No. 12)
One atom of each set of equivalent atoms:
Zr1 0.000 0.000 0.000
Sc1 0.000 0.166 0.500
Au1 0.169 0.334 0.833
Au2 0.171 0.500 0.332

(3)
Structure and calculated powder X-ray diffraction pattern of ZrScAu (a GGA-PBE-relaxed structure; copper Kα).
Peak positions follow from Bragg's law for the DFT cell and can differ from measured ones.

Principal peaks in the range 15° ≤ 2θ ≤ 90°, sorted by position:
(0 2 0), 2θ = 15.74°, d = 5.629 Å, I 30
(1 1 1), 2θ = 27.73°, d = 3.218 Å, I 26
(1 3 1), 2θ = 35.89°, d = 2.502 Å, I 100
(2 0 0), 2θ = 37.90°, d = 2.374 Å, I 43
(2 6 0), 2θ = 63.16°, d = 1.472 Å, I 18
(3 3 1), 2θ = 67.15°, d = 1.394 Å, I 31

Structural model:
Unit cell a=4.747 b=11.258 c=4.750 alpha=90.00 beta=90.00 gamma=90.00
Space group Cmmm (No. 65)
One atom of each set of equivalent atoms:
Zr1 0.000 0.161 0.000
Sc1 0.000 0.344 0.500
Au1 0.000 0.000 0.500
Au2 0.000 0.500 0.000

(4)
Structure and calculated powder X-ray diffraction pattern of ZrSc3Au4 (a GGA-PBE-relaxed structure; copper Kα).
Peak positions follow from Bragg's law for the DFT cell and can differ from measured ones.

Principal peaks in the range 15° ≤ 2θ ≤ 90°, sorted by position:
(1 0 4), 2θ = 26.10°, d = 3.414 Å, I 74
(0 1 8), 2θ = 37.17°, d = 2.419 Å, I 100
(1 1 0), 2θ = 37.32°, d = 2.410 Å, I 99
(2 0 8), 2θ = 53.70°, d = 1.707 Å, I 34
(1 0 16), 2θ = 66.93°, d = 1.398 Å, I 18
(3 0 0), 2θ = 67.24°, d = 1.392 Å, I 53

Structural model:
Unit cell a=4.8190 b=4.8190 c=23.7418 alpha=90.00 beta=90.00 gamma=120.00
Space group R-3m (No. 166, hexagonal axes)
One atom of each set of equivalent atoms:
Zr1 0.0000 0.0000 0.0000
Sc1 0.0000 0.0000 0.2496
Sc2 0.0000 0.0000 0.5000
Au1 0.0000 0.0000 0.1263
Au2 0.0000 0.0000 0.3767